Entry 1:
The following is a calculated powder diffractogram of AcPd7O12. It was derived from a structure optimized by DFT (PBE), using Cu Kα (weighted mean of Kα1 and Kα2).
Lines closer than 0.1° are merged.

Crystal structure
Cell: 7.806 7.806 7.806 Å, 90.00 90.00 90.00°
Space group Im-3 (No. 204)
Symmetry-distinct sites (fractional):
Ac1 0.000 0.000 0.000 (multiplicity 2)
Pd1 0.000 0.000 0.500 (multiplicity 6)
Pd2 0.250 0.250 0.250 (multiplicity 8)
O1 0.000 0.303 0.167 (multiplicity 24)

Most intense lines, 2θ = 10–90°, most intense first:
(2 2 0), 2θ = 32.4°, I = 100; (4 2 2), 2θ = 57.9°, I = 46; (4 0 0), 2θ = 46.5°, I = 23; (6 2 0), 2θ = 77.3°, I = 17; (4 4 0), 2θ = 67.9°, I = 13; (1 1 0), 2θ = 16.1°, I = 7

Entry 2:
The following is a calculated powder diffractogram of Ac3Pd4O12. It was derived from a structure optimized by DFT (PBE), using Cu Kα (weighted mean of Kα1 and Kα2).
Lines closer than 0.1° are merged.

Crystal structure
Cell: 8.151 8.151 8.151 Å, 90.00 90.00 90.00°
Space group Im-3 (No. 204)
Symmetry-distinct sites (fractional):
Ac1 0.000 0.000 0.500 (multiplicity 6)
Pd1 0.250 0.250 0.250 (multiplicity 8)
O1 0.000 0.238 0.298 (multiplicity 24)

Most intense lines, 2θ = 10–90°, most intense first:
(2 2 0), 2θ = 31.0°, I = 100; (4 2 2), 2θ = 55.2°, I = 44; (1 1 0), 2θ = 15.4°, I = 28; (4 0 0), 2θ = 44.5°, I = 27; (6 2 0), 2θ = 73.5°, I = 18; (4 4 0), 2θ = 64.7°, I = 16

Entry 3:
The following is a calculated powder diffractogram of AcScPdO4. It was derived from a structure optimized by DFT (PBE), using Cu Kα (weighted mean of Kα1 and Kα2).
Lines closer than 0.1° are merged.

Crystal structure
Cell: 5.753 5.753 6.742 Å, 90.00 90.00 90.00°
Space group I-4 (No. 82)
Symmetry-distinct sites (fractional):
Ac1 0.000 0.000 0.000 (multiplicity 2)
Sc1 0.000 0.000 0.500 (multiplicity 2)
Pd1 0.000 0.500 0.250 (multiplicity 2)
O1 0.178 0.802 0.301 (multiplicity 8)

Most intense lines, 2θ = 10–90°, most intense first:
(1 0 1), 2θ = 20.3°, I = 100; (1 1 2), 2θ = 34.6°, I = 90; (1 2 1), 2θ = 37.4°, I = 49; (2 0 0), 2θ = 31.1°, I = 47; (1 3 2), 2θ = 57.6°, I = 46; (1 1 0), 2θ = 21.8°, I = 29

Entry 4:
The following is a calculated powder diffractogram of Ac2SiPdO6. It was derived from a structure optimized by DFT (PBE), using Cu Kα (weighted mean of Kα1 and Kα2).
Lines closer than 0.1° are merged.

Crystal structure
Cell: 5.555 5.555 4.354 Å, 90.00 90.00 90.00°
Space group P4mm (No. 99)
Symmetry-distinct sites (fractional):
Ac1 0.000 0.500 0.000 (multiplicity 2)
Si1 0.000 0.000 0.523 (multiplicity 1)
Pd1 0.500 0.500 0.546 (multiplicity 1)
O1 0.000 0.000 0.140 (multiplicity 1)
O2 0.219 0.219 0.616 (multiplicity 4)
O3 0.500 0.500 0.052 (multiplicity 1)

Most intense lines, 2θ = 10–90°, most intense first:
(1 1 1), 2θ = 30.7°, I = 100; (2 0 0), 2θ = 32.2°, I = 44; (3 1 1), 2θ = 56.5°, I = 36; (2 0 1), 2θ = 38.4°, I = 26; (2 2 0), 2θ = 46.2°, I = 24; (1 1 0), 2θ = 22.6°, I = 24

Entry 5:
The following is a calculated powder diffractogram of AcTc2PdO8. It was derived from a structure optimized by DFT (PBE), using Cu Kα (weighted mean of Kα1 and Kα2).
Lines closer than 0.1° are merged.

Crystal structure
Cell: 11.567 7.439 4.698 Å, 90.00 113.54 90.00°
Space group C2/m (No. 12)
Symmetry-distinct sites (fractional):
Ac1 0.000 0.000 0.000 (multiplicity 2)
Tc1 0.199 0.500 0.258 (multiplicity 4)
Pd1 0.000 0.500 0.500 (multiplicity 2)
O1 0.129 0.000 0.618 (multiplicity 4)
O2 0.132 0.293 0.086 (multiplicity 8)
O3 0.191 0.500 0.632 (multiplicity 4)

Most intense lines, 2θ = 10–90°, most intense first:
(1 1 1), 2θ = 28.0°, I = 100; (0 2 0), 2θ = 23.9°, I = 64; (3 1 -1), 2θ = 28.2°, I = 50; (1 3 1), 2θ = 44.7°, I = 27; (2 0 -2), 2θ = 38.3°, I = 22; (5 1 -1), 2θ = 41.1°, I = 20

Entry 6:
The following is a calculated powder diffractogram of AcTcPdO6. It was derived from a structure optimized by DFT (PBE), using Cu Kα (weighted mean of Kα1 and Kα2).
Lines closer than 0.1° are merged.

Crystal structure
Cell: 5.105 5.411 5.416 Å, 116.35 91.75 91.72°
Space group P1 (No. 1)
Symmetry-distinct sites (fractional):
Ac1 0.000 0.000 0.000 (multiplicity 1)
Tc1 0.501 0.353 0.648 (multiplicity 1)
Pd1 0.501 0.691 0.309 (multiplicity 1)
O1 0.264 0.089 0.624 (multiplicity 1)
O2 0.296 0.395 0.354 (multiplicity 1)
O3 0.310 0.651 0.951 (multiplicity 1)
O4 0.692 0.049 0.351 (multiplicity 1)
O5 0.705 0.647 0.604 (multiplicity 1)
O6 0.740 0.380 0.912 (multiplicity 1)

Most intense lines, 2θ = 10–90°, most intense first:
(1 0 -1), 2θ = 24.7°, I = 100; (1 -1 1), 2θ = 26.1°, I = 87; (1 1 0), 2θ = 26.0°, I = 86; (0 2 -1), 2θ = 33.2°, I = 62; (0 1 1), 2θ = 31.4°, I = 39; (2 -1 2), 2θ = 49.9°, I = 33

Entry 7:
The following is a calculated powder diffractogram of AcThPd2O8. It was derived from a structure optimized by DFT (PBE), using Cu Kα (weighted mean of Kα1 and Kα2).
Lines closer than 0.1° are merged.

Crystal structure
Cell: 5.606 5.606 11.243 Å, 90.00 90.00 90.00°
Space group I-4 (No. 82)
Symmetry-distinct sites (fractional):
Ac1 0.000 0.000 0.000 (multiplicity 2)
Th1 0.000 0.500 0.750 (multiplicity 2)
Pd1 0.000 0.000 0.500 (multiplicity 2)
Pd2 0.000 0.500 0.250 (multiplicity 2)
O1 0.078 0.322 0.553 (multiplicity 8)
O2 0.138 0.809 0.205 (multiplicity 8)

Most intense lines, 2θ = 10–90°, most intense first:
(1 1 2), 2θ = 27.5°, I = 100; (0 0 4), 2θ = 31.9°, I = 57; (2 0 4), 2θ = 45.7°, I = 41; (1 3 2), 2θ = 54.3°, I = 39; (3 1 6), 2θ = 73.6°, I = 20; (1 1 6), 2θ = 54.1°, I = 18

Entry 8:
The following is a calculated powder diffractogram of Ac2TlPd2O6. It was derived from a structure optimized by DFT (PBE), using Cu Kα (weighted mean of Kα1 and Kα2).
Lines closer than 0.1° are merged.

Crystal structure
Cell: 6.2200 6.2200 16.7362 Å, 90.00 90.00 120.00°
Space group R-3m (No. 166, hexagonal axes)
Symmetry-distinct sites (fractional):
Ac1 0.0000 0.0000 0.2133 (multiplicity 6)
Tl1 0.0000 0.0000 0.0000 (multiplicity 3)
Pd1 0.0000 0.0000 0.4116 (multiplicity 6)
O1 0.0417 0.5209 0.7650 (multiplicity 18)

Most intense lines, 2θ = 10–90°, most intense first:
(1 1 0), 2θ = 28.7°, I = 100; (0 1 5), 2θ = 31.5°, I = 69; (1 2 5), 2θ = 52.6°, I = 37; (2 0 5), 2θ = 43.1°, I = 35; (1 0 10), 2θ = 57.7°, I = 21; (3 0 0), 2θ = 50.9°, I = 21

Entry 9:
The following is a calculated powder diffractogram of AcUPd2O8. It was derived from a structure optimized by DFT (PBE), using Cu Kα (weighted mean of Kα1 and Kα2).
Lines closer than 0.1° are merged.

Crystal structure
Cell: 7.265 7.265 7.073 Å, 90.00 90.00 90.00°
Space group I-4m2 (No. 119)
Symmetry-distinct sites (fractional):
Ac1 0.000 0.000 0.000 (multiplicity 2)
U1 0.000 0.500 0.750 (multiplicity 2)
Pd1 0.000 0.000 0.500 (multiplicity 2)
Pd2 0.000 0.500 0.250 (multiplicity 2)
O1 0.000 0.211 0.695 (multiplicity 8)
O2 0.000 0.337 0.034 (multiplicity 8)

Most intense lines, 2θ = 10–90°, most intense first:
(2 0 0), 2θ = 24.5°, I = 100; (1 1 2), 2θ = 30.7°, I = 92; (3 1 2), 2θ = 47.2°, I = 70; (2 2 0), 2θ = 34.9°, I = 28; (1 0 1), 2θ = 17.5°, I = 26; (3 3 2), 2θ = 60.0°, I = 20

Entry 10:
The following is a calculated powder diffractogram of AcUPdO6. It was derived from a structure optimized by DFT (PBE), using Cu Kα (weighted mean of Kα1 and Kα2).
Lines closer than 0.1° are merged.

Crystal structure
Cell: 5.4713 5.4713 11.1063 Å, 90.00 90.00 120.00°
Space group P-31c (No. 163)
Symmetry-distinct sites (fractional):
Ac1 0.0000 0.0000 0.0000 (multiplicity 2)
U1 0.3333 0.6667 0.2500 (multiplicity 2)
Pd1 0.3333 0.6667 0.7500 (multiplicity 2)
O1 0.0050 0.3614 0.1434 (multiplicity 12)

Most intense lines, 2θ = 10–90°, most intense first:
(1 0 2), 2θ = 24.7°, I = 100; (1 1 4), 2θ = 46.6°, I = 44; (1 1 0), 2θ = 32.7°, I = 41; (2 0 2), 2θ = 41.4°, I = 25; (2 1 2), 2θ = 53.8°, I = 25; (3 0 0), 2θ = 58.4°, I = 13

Entry 11:
The following is a calculated powder diffractogram of Ac3Zn2PdO9. It was derived from a structure optimized by DFT (PBE), using Cu Kα (weighted mean of Kα1 and Kα2).
Lines closer than 0.1° are merged.

Crystal structure
Cell: 5.6905 5.6905 6.9898 Å, 90.00 90.00 120.00°
Space group P-3m1 (No. 164)
Symmetry-distinct sites (fractional):
Ac1 0.0000 0.0000 0.0000 (multiplicity 1)
Ac2 0.3333 0.6667 0.6714 (multiplicity 2)
Zn1 0.3333 0.6667 0.1626 (multiplicity 2)
Pd1 0.0000 0.0000 0.5000 (multiplicity 1)
O1 0.0000 0.5000 0.0000 (multiplicity 3)
O2 0.1658 0.3317 0.3334 (multiplicity 6)

Most intense lines, 2θ = 10–90°, most intense first:
(1 1 0), 2θ = 31.4°, I = 100; (3 0 0), 2θ = 56.0°, I = 30; (2 0 2), 2θ = 45.0°, I = 28; (1 0 1), 2θ = 22.1°, I = 20; (0 2 1), 2θ = 38.7°, I = 12; (2 1 1), 2θ = 50.7°, I = 10

Entry 12:
The following is a calculated powder diffractogram of AcPmPtO6. It was derived from a structure optimized by DFT (PBE), using Cu Kα (weighted mean of Kα1 and Kα2).
Lines closer than 0.1° are merged.

Crystal structure
Cell: 5.6780 5.6780 5.2611 Å, 90.00 90.00 120.00°
Space group P312 (No. 149)
Symmetry-distinct sites (fractional):
Ac1 0.0000 0.0000 0.0000 (multiplicity 1)
Pm1 0.3333 0.6667 0.5000 (multiplicity 1)
Pt1 0.6667 0.3333 0.5000 (multiplicity 1)
O1 0.3791 0.0452 0.7167 (multiplicity 6)

Most intense lines, 2θ = 10–90°, most intense first:
(1 0 1), 2θ = 24.8°, I = 100; (1 1 0), 2θ = 31.5°, I = 46; (2 -1 2), 2θ = 47.1°, I = 42; (2 0 1), 2θ = 40.5°, I = 27; (3 -1 1), 2θ = 52.2°, I = 27; (3 0 0), 2θ = 56.1°, I = 14

Entry 13:
The following is a calculated powder diffractogram of AcPmPuO6. It was derived from a structure optimized by DFT (PBE), using Cu Kα (weighted mean of Kα1 and Kα2).
Lines closer than 0.1° are merged.

Crystal structure
Cell: 5.9461 5.9461 10.1422 Å, 90.00 90.00 120.00°
Space group P-31c (No. 163)
Symmetry-distinct sites (fractional):
Ac1 0.0000 0.0000 0.0000 (multiplicity 2)
Pm1 0.3333 0.6667 0.2500 (multiplicity 2)
Pu1 0.3333 0.6667 0.7500 (multiplicity 2)
O1 0.0344 0.3749 0.6398 (multiplicity 12)

Most intense lines, 2θ = 10–90°, most intense first:
(1 0 2), 2θ = 24.6°, I = 100; (1 1 0), 2θ = 30.1°, I = 55; (1 1 4), 2θ = 47.1°, I = 44; (2 1 2), 2θ = 50.2°, I = 30; (2 0 2), 2θ = 39.2°, I = 29; (3 0 0), 2θ = 53.4°, I = 17